(1)
YZnGa3Ni: computed powder diffractogram (Cu Kα X-rays), based on a crystal structure in Alexandria, relaxed with GGA-PBE.
No peak broadening, texture or thermal motion is included.

Peak list (10 most intense, 2θ = 15–90°, by angle)
- 2θ 26.75, I 34, hkl 2 0 0
- 2θ 30.73, I 44, hkl 2 2 0
- 2θ 33.91, I 40, hkl 0 4 1
- 2θ 34.93, I 43, hkl 0 2 2
- 2θ 40.58, I 21, hkl 2 4 0
- 2θ 41.31, I 35, hkl 3 1 0
- 2θ 41.74, I 100, hkl 2 0 2
- 2θ 43.28, I 44, hkl 1 5 1
- 2θ 43.71, I 39, hkl 2 4 1
- 2θ 43.96, I 23, hkl 0 4 2

Cell and atoms:
a = 6.665 Å, b = 11.939 Å, c = 5.692 Å
α = 90.00°, β = 90.00°, γ = 90.00°
Space group Cmcm (No. 63)
One atom of each set of equivalent atoms:
Y (0.000, 0.204, 0.250) (multiplicity 4)
Zn (0.000, 0.439, 0.250) (multiplicity 4)
Ga (0.000, 0.338, 0.750) (multiplicity 4)
Ga (0.196, 0.000, 0.000) (multiplicity 8)
Ni (0.000, 0.135, 0.750) (multiplicity 4)

***

(2)
Zn3GaNi2: computed powder diffractogram (Cu Kα X-rays), based on a crystal structure in Alexandria, relaxed with GGA-PBE.
No peak broadening, texture or thermal motion is included.

Peak list (10 most intense, 2θ = 15–90°, by angle)
- 2θ 41.86, I 100, hkl 1 1 1
- 2θ 47.88, I 17, hkl 2 0 -1
- 2θ 48.76, I 15, hkl 0 0 3
- 2θ 49.52, I 15, hkl 0 2 0
- 2θ 70.62, I 5, hkl 2 0 2
- 2θ 71.35, I 10, hkl 2 2 -1
- 2θ 72.04, I 8, hkl 0 2 3
- 2θ 84.97, I 6, hkl 3 1 0
- 2θ 85.15, I 6, hkl 3 1 -3
- 2θ 87.54, I 11, hkl 1 3 1

Cell and atoms:
a = 3.800 Å, b = 3.681 Å, c = 5.910 Å
α = 90.00°, β = 108.57°, γ = 90.00°
Space group P2/m (No. 10)
One atom of each set of equivalent atoms:
Zn (0.000, 0.000, 0.000) (multiplicity 1)
Zn (0.323, 0.000, 0.646) (multiplicity 2)
Ga (0.500, 0.500, 0.000) (multiplicity 1)
Ni (0.157, 0.500, 0.314) (multiplicity 2)

***

(3)
Zn4GaNi: computed powder diffractogram (Cu Kα X-rays), based on a crystal structure in Alexandria, relaxed with GGA-PBE.
No peak broadening, texture or thermal motion is included.

Peak list (10 most intense, 2θ = 15–90°, by angle)
- 2θ 21.41, I 14, hkl 1 0 1
- 2θ 28.39, I 19, hkl 1 0 2
- 2θ 33.88, I 41, hkl 1 1 2
- 2θ 37.18, I 42, hkl 0 1 3
- 2θ 42.87, I 100, hkl 1 2 1
- 2θ 43.45, I 31, hkl 0 0 4
- 2θ 43.62, I 62, hkl 2 0 2
- 2θ 51.30, I 23, hkl 1 1 4
- 2θ 71.54, I 23, hkl 3 2 1
- 2θ 78.90, I 12, hkl 2 3 3

Cell and atoms:
a = 4.784 Å, b = 4.897 Å, c = 8.343 Å
α = 90.00°, β = 90.00°, γ = 90.00°
Space group P222 (No. 16)
One atom of each set of equivalent atoms:
Zn (0.218, 0.154, 0.216) (multiplicity 4)
Zn (0.246, 0.370, 0.672) (multiplicity 4)
Ga (0.500, 0.000, 0.500) (multiplicity 1)
Ga (0.500, 0.500, 0.000) (multiplicity 1)
Ni (0.000, 0.000, 0.500) (multiplicity 1)
Ni (0.500, 0.000, 0.000) (multiplicity 1)

***

(4)
ZnGaNi6: computed powder diffractogram (Cu Kα X-rays), based on a crystal structure in Alexandria, relaxed with GGA-PBE.
No peak broadening, texture or thermal motion is included.

Peak list (5 most intense, 2θ = 15–90°, by angle)
- 2θ 43.80, I 100, hkl 1 1 2
- 2θ 50.95, I 31, hkl 2 0 0
- 2θ 51.17, I 15, hkl 0 0 4
- 2θ 74.93, I 9, hkl 2 2 0
- 2θ 75.10, I 18, hkl 2 0 4

Cell and atoms:
a = 3.585 Å, b = 3.585 Å, c = 7.141 Å
α = 90.00°, β = 90.00°, γ = 90.00°
Space group P4/mmm (No. 123)
One atom of each set of equivalent atoms:
Zn (0.000, 0.000, 0.000) (multiplicity 1)
Ga (0.000, 0.000, 0.500) (multiplicity 1)
Ni (0.000, 0.500, 0.251) (multiplicity 4)
Ni (0.500, 0.500, 0.000) (multiplicity 1)
Ni (0.500, 0.500, 0.500) (multiplicity 1)

***

(5)
ZnGa3Ni7: computed powder diffractogram (Cu Kα X-rays), based on a crystal structure in Alexandria, relaxed with GGA-PBE.
No peak broadening, texture or thermal motion is included.

Peak list (10 most intense, 2θ = 15–90°, by angle)
- 2θ 24.74, I 15, hkl 2 0 -1
- 2θ 32.59, I 18, hkl 2 2 -1
- 2θ 39.19, I 66, hkl 2 0 -2
- 2θ 42.49, I 82, hkl 0 4 0
- 2θ 44.55, I 100, hkl 2 2 1
- 2θ 44.79, I 22, hkl 2 2 -2
- 2θ 47.19, I 19, hkl 3 3 -1
- 2θ 47.91, I 28, hkl 0 2 2
- 2θ 50.55, I 43, hkl 4 2 -1
- 2θ 59.17, I 33, hkl 2 4 -2

Cell and atoms:
a = 7.976 Å, b = 8.510 Å, c = 4.674 Å
α = 90.00°, β = 114.81°, γ = 90.00°
Space group C2/m (No. 12)
One atom of each set of equivalent atoms:
Zn (0.000, 0.000, 0.000) (multiplicity 2)
Ga (0.000, 0.277, 0.500) (multiplicity 4)
Ga (0.000, 0.500, 0.000) (multiplicity 2)
Ni (0.000, 0.000, 0.500) (multiplicity 2)
Ni (0.172, 0.257, 0.181) (multiplicity 8)
Ni (0.199, 0.500, 0.544) (multiplicity 4)

***

(6)
ZnGa2Ni8: computed powder diffractogram (Cu Kα X-rays), based on a crystal structure in Alexandria, relaxed with GGA-PBE.
No peak broadening, texture or thermal motion is included.

Peak list (10 most intense, 2θ = 15–90°, by angle)
- 2θ 15.26, I 4, hkl 0 1 1
- 2θ 27.88, I 2, hkl 1 1 0
- 2θ 28.13, I 3, hkl 0 1 3
- 2θ 44.27, I 100, hkl 1 2 3
- 2θ 50.56, I 17, hkl 2 0 0
- 2θ 51.15, I 16, hkl 0 0 6
- 2θ 53.00, I 14, hkl 0 4 0
- 2θ 74.78, I 9, hkl 2 0 6
- 2θ 76.29, I 9, hkl 2 4 0
- 2θ 76.76, I 9, hkl 0 4 6

Cell and atoms:
a = 3.610 Å, b = 6.911 Å, c = 10.714 Å
α = 90.00°, β = 90.00°, γ = 90.00°
Space group Immm (No. 71)
One atom of each set of equivalent atoms:
Zn (0.000, 0.000, 0.000) (multiplicity 2)
Ga (0.000, 0.000, 0.334) (multiplicity 4)
Ni (0.000, 0.242, 0.500) (multiplicity 4)
Ni (0.000, 0.255, 0.165) (multiplicity 8)
Ni (0.000, 0.500, 0.335) (multiplicity 4)

***

(7)
ZnGa3Ni3: computed powder diffractogram (Cu Kα X-rays), based on a crystal structure in Alexandria, relaxed with GGA-PBE.
No peak broadening, texture or thermal motion is included.

Peak list (10 most intense, 2θ = 15–90°, by angle)
- 2θ 18.94, I 7, hkl 2 1 1
- 2θ 29.11, I 8, hkl 3 2 1
- 2θ 31.17, I 5, hkl 4 0 0
- 2θ 43.17, I 7, hkl 5 2 1
- 2θ 44.66, I 100, hkl 4 4 0
- 2θ 48.92, I 4, hkl 6 1 1
- 2θ 65.01, I 15, hkl 8 0 0
- 2θ 77.06, I 3, hkl 6 5 5
- 2θ 82.31, I 28, hkl 8 4 4
- 2θ 89.57, I 2, hkl 9 5 2

Cell and atoms:
a = 11.477 Å, b = 11.477 Å, c = 11.477 Å
α = 90.00°, β = 90.00°, γ = 90.00°
Space group Ia-3d (No. 230)
One atom of each set of equivalent atoms:
Zn (0.000, 0.000, 0.000) (multiplicity 16)
Ga (0.000, 0.250, 0.011) (multiplicity 48)
Ni (0.117, 0.125, 0.867) (multiplicity 48)

***

(8)
ZnGa3Ni5: computed powder diffractogram (Cu Kα X-rays), based on a crystal structure in Alexandria, relaxed with GGA-PBE.
No peak broadening, texture or thermal motion is included.

Peak list (10 most intense, 2θ = 15–90°, by angle)
- 2θ 35.53, I 9, hkl 0 0 2
- 2θ 42.74, I 19, hkl 2 1 1
- 2θ 43.95, I 100, hkl 1 1 2
- 2θ 44.08, I 99, hkl 3 0 0
- 2θ 56.86, I 8, hkl 3 1 1
- 2θ 57.85, I 7, hkl 3 0 2
- 2θ 64.00, I 27, hkl 2 2 2
- 2θ 75.20, I 7, hkl 0 0 4
- 2θ 81.02, I 34, hkl 3 3 0
- 2θ 85.57, I 7, hkl 4 2 1

Cell and atoms:
a = 7.1164 Å, b = 7.1164 Å, c = 5.0539 Å
α = 90.00°, β = 90.00°, γ = 120.00°
Space group P6_3/mcm (No. 193)
One atom of each set of equivalent atoms:
Zn (0.0000, 0.0000, 0.0000) (multiplicity 2)
Ga (0.0000, 0.3670, 0.2500) (multiplicity 6)
Ni (0.0000, 0.3035, 0.7500) (multiplicity 6)
Ni (0.3333, 0.6667, 0.0000) (multiplicity 4)

***

(9)
Zr3Ga2Ni6: computed powder diffractogram (Cu Kα X-rays), based on a crystal structure in Alexandria, relaxed with GGA-PBE.
No peak broadening, texture or thermal motion is included.

Peak list (10 most intense, 2θ = 15–90°, by angle)
- 2θ 32.91, I 14, hkl 3 1 0
- 2θ 36.16, I 40, hkl 2 2 2
- 2θ 39.17, I 34, hkl 3 2 1
- 2θ 42.00, I 19, hkl 4 0 0
- 2θ 44.68, I 100, hkl 3 3 0
- 2θ 47.24, I 14, hkl 4 2 0
- 2θ 67.04, I 13, hkl 5 3 2
- 2θ 72.92, I 22, hkl 6 2 2
- 2θ 76.73, I 10, hkl 4 4 4
- 2θ 82.34, I 18, hkl 6 3 3

Cell and atoms:
a = 8.605 Å, b = 8.605 Å, c = 8.605 Å
α = 90.00°, β = 90.00°, γ = 90.00°
Space group Im-3m (No. 229)
One atom of each set of equivalent atoms:
Zr (0.000, 0.000, 0.277) (multiplicity 12)
Ga (0.250, 0.250, 0.250) (multiplicity 8)
Ni (0.000, 0.344, 0.344) (multiplicity 24)

***

(10)
Zr3Ga2Ni7: computed powder diffractogram (Cu Kα X-rays), based on a crystal structure in Alexandria, relaxed with GGA-PBE.
No peak broadening, texture or thermal motion is included.

Peak list (10 most intense, 2θ = 15–90°, by angle)
- 2θ 33.85, I 21, hkl 1 0 7
- 2θ 35.88, I 39, hkl 1 1 0
- 2θ 37.07, I 22, hkl 0 1 8
- 2θ 41.86, I 32, hkl 0 2 1
- 2θ 42.93, I 100, hkl 1 1 6
- 2θ 46.15, I 29, hkl 2 0 5
- 2θ 46.55, I 17, hkl 0 0 12
- 2θ 47.60, I 15, hkl 0 1 11
- 2θ 69.35, I 22, hkl 0 3 6
- 2θ 76.06, I 23, hkl 2 2 0

Cell and atoms:
a = 5.0056 Å, b = 5.0056 Å, c = 23.4096 Å
α = 90.00°, β = 90.00°, γ = 120.00°
Space group R-3m (No. 166, hexagonal axes)
One atom of each set of equivalent atoms:
Zr (0.0000, 0.0000, 0.0000) (multiplicity 3)
Zr (0.0000, 0.0000, 0.1393) (multiplicity 6)
Ga (0.0000, 0.0000, 0.3333) (multiplicity 6)
Ni (0.0000, 0.0000, 0.5000) (multiplicity 3)
Ni (0.0027, 0.5013, 0.9153) (multiplicity 18)

***

(11)
Zr4GaNi: computed powder diffractogram (Cu Kα X-rays), based on a crystal structure in Alexandria, relaxed with GGA-PBE.
No peak broadening, texture or thermal motion is included.

Peak list (10 most intense, 2θ = 15–90°, by angle)
- 2θ 34.52, I 100, hkl 2 1 1
- 2θ 38.99, I 27, hkl 1 1 2
- 2θ 42.90, I 38, hkl 3 1 0
- 2θ 43.63, I 27, hkl 2 0 2
- 2θ 59.81, I 13, hkl 4 1 1
- 2θ 60.95, I 18, hkl 2 1 3
- 2θ 66.25, I 13, hkl 4 0 2
- 2θ 69.56, I 18, hkl 3 3 2
- 2θ 79.52, I 10, hkl 5 2 1
- 2θ 86.81, I 9, hkl 3 1 4

Cell and atoms:
a = 6.666 Å, b = 6.666 Å, c = 5.301 Å
α = 90.00°, β = 90.00°, γ = 90.00°
Space group P4/mcc (No. 124)
One atom of each set of equivalent atoms:
Zr (0.151, 0.334, 0.000) (multiplicity 8)
Ga (0.500, 0.500, 0.250) (multiplicity 2)
Ni (0.000, 0.000, 0.250) (multiplicity 2)